The following is a computed powder X-ray diffraction pattern of NaAcIn. It was derived from a structure optimized by DFT (PBE), using λ = 1.5418 Å (Cu Kα).
Lines closer than 0.1° are merged.

Structure:
a b c (Å): 5.555 5.555 3.689
angles (deg): 90.00 90.00 120.00
Fractional coordinates of all 3 atoms:
Na (0.000, 0.000, 0.000)
Ac (0.333, 0.667, 0.500)
In (0.667, 0.333, 0.000)

Main lines, by intensity (10 to 80 degrees two-theta):
2θ/deg	d (Å)	I_rel	h k l
30.54	2.927	1000	1 0 1
32.23	2.777	625	1 1 0
18.44	4.810	523	1 0 0
56.42	1.631	358	2 1 1
44.99	2.015	349	2 0 1
60.23	1.536	209	1 1 2
75.83	1.255	151	3 1 1
57.47	1.603	120	3 0 0